[1]
For NdDy3Pd12, a DFT-relaxed cell (GGA-PBE, Alexandria) gives the theoretical powder diffractogram in this record (copper Kα).
Intensities are scaled so that the largest is 1000.

Crystal structure
```
16
Lattice="4.1365 0.0000 0.0000 0.0000 4.1365 0.0000 0.0000 0.0000 16.6323" Properties=species:S:1:pos:R:3 pbc="T T T"
Nd 0.0000 0.0000 0.0000
Dy 0.0000 0.0000 4.2092
Dy 0.0000 0.0000 8.3162
Dy 0.0000 0.0000 12.4231
Pd 0.0000 2.0682 2.1498
Pd 0.0000 2.0682 6.2572
Pd 0.0000 2.0682 10.3751
Pd 0.0000 2.0682 14.4825
Pd 2.0682 0.0000 2.1498
Pd 2.0682 0.0000 6.2572
Pd 2.0682 0.0000 10.3751
Pd 2.0682 0.0000 14.4825
Pd 2.0682 2.0682 0.0000
Pd 2.0682 2.0682 4.1959
Pd 2.0682 2.0682 8.3162
Pd 2.0682 2.0682 12.4364
```

Principal peaks in the range 2θ from 10° to 80°, most intense first:
two_theta	Rel. int.
37.6	1000
43.8	326
76.3	246
63.4	209
43.5	163
76.0	120
63.6	106
30.5	25
21.5	19
21.4	10
49.2	10
54.3	7

=====

[2]
For Nd2DyPd4, a DFT-relaxed cell (GGA-PBE, Alexandria) gives the theoretical powder diffractogram in this record (copper Kα).
Intensities are scaled so that the largest is 1000.

Crystal structure
```
14
Lattice="5.0411 0.0000 0.0000 0.0000 5.0411 0.0000 0.0000 0.0000 14.9622" Properties=species:S:1:pos:R:3 pbc="T T T"
Nd 0.0000 0.0000 2.0313
Nd 0.0000 0.0000 12.9309
Nd 2.5205 2.5205 5.4498
Nd 2.5205 2.5205 9.5124
Dy 0.0000 0.0000 7.4811
Dy 2.5205 2.5205 0.0000
Pd 0.0000 0.0000 4.7892
Pd 0.0000 0.0000 10.1730
Pd 0.0000 2.5205 0.0000
Pd 0.0000 2.5205 7.4811
Pd 2.5205 0.0000 0.0000
Pd 2.5205 0.0000 7.4811
Pd 2.5205 2.5205 2.6919
Pd 2.5205 2.5205 12.2703
```

Principal peaks in the range 2θ from 10° to 80°, most intense first:
two_theta	Rel. int.
35.6	1000
25.0	650
34.9	576
51.6	411
50.7	396
34.8	388
11.8	360
51.3	352
36.0	289
27.7	277
63.5	232
25.1	228

=====

[3]
For NdDy2Pd, a DFT-relaxed cell (GGA-PBE, Alexandria) gives the theoretical powder diffractogram in this record (copper Kα).
Intensities are scaled so that the largest is 1000.

Crystal structure
```
16
Lattice="7.1205 0.0000 0.0000 0.0000 9.7568 0.0000 0.0000 0.0000 6.5515" Properties=species:S:1:pos:R:3 pbc="T T T"
Nd 0.1331 2.4392 0.8847
Nd 3.4271 7.3176 4.1604
Nd 3.6934 2.4392 2.3911
Nd 6.9874 7.3176 5.6668
Dy 1.2742 0.5896 4.3989
Dy 1.2742 4.2888 4.3989
Dy 2.2860 5.4680 1.1232
Dy 2.2860 9.1672 1.1232
Dy 4.8345 0.5896 5.4283
Dy 4.8345 4.2888 5.4283
Dy 5.8463 5.4680 2.1526
Dy 5.8463 9.1672 2.1526
Pd 0.8025 7.3176 2.7776
Pd 2.7577 2.4392 6.0533
Pd 4.3628 7.3176 0.4982
Pd 6.3180 2.4392 3.7739
```

Principal peaks in the range 2θ from 10° to 80°, most intense first:
two_theta	Rel. int.
31.4	1000
30.0	824
30.7	824
31.1	739
34.0	693
55.5	553
35.3	533
33.2	531
37.5	440
40.4	328
56.4	303
52.1	270

=====

[4]
For Pm5Nd3Dy4, a DFT-relaxed cell (GGA-PBE, Alexandria) gives the theoretical powder diffractogram in this record (copper Kα).
Intensities are scaled so that the largest is 1000.

Crystal structure
```
12
Lattice="6.2752 0.0000 0.0000 -0.0069 7.2367 0.0000 -0.0063 -0.0110 8.8704" Properties=species:S:1:pos:R:3 pbc="T T T"
Pm 0.0000 0.0000 0.0000
Pm 2.0853 3.6163 2.9691
Pm 3.1186 5.4312 8.8683
Pm 3.1433 1.7945 0.0020
Pm 4.1767 3.6095 5.9012
Nd -0.0035 3.6184 0.0000
Nd 1.0364 1.7865 5.8977
Nd 5.2256 5.4393 2.9727
Dy 1.0430 5.4347 5.9023
Dy 2.0933 -0.0007 2.9711
Dy 4.1686 7.2264 5.8993
Dy 5.2190 1.7911 2.9681
```

Principal peaks in the range 2θ from 10° to 80°, most intense first:
two_theta	Rel. int.
30.2	1000
35.0	507
50.4	362
59.9	360
62.9	124
60.0	72
74.0	38
74.2	19

=====

[5]
For PmNd12Dy5, a DFT-relaxed cell (GGA-PBE, Alexandria) gives the theoretical powder diffractogram in this record (copper Kα).
Intensities are scaled so that the largest is 1000.

Crystal structure
```
18
Lattice="7.7162 -7.7290 0.0000 7.7162 7.7290 0.0000 0.0000 0.0000 5.1553" Properties=species:S:1:pos:R:3 pbc="T T T"
Pm 0.0000 0.0000 0.0000
Nd 5.1612 5.1465 0.0000
Nd 2.5648 0.0000 2.5776
Nd 5.1721 2.5741 2.5776
Nd 10.2712 5.1465 0.0000
Nd 5.1769 0.0000 0.0000
Nd 10.2603 2.5741 2.5776
Nd 5.1721 -2.5741 2.5776
Nd 10.2556 0.0000 0.0000
Nd 5.1612 -5.1465 0.0000
Nd 10.2603 -2.5741 2.5776
Nd 12.8677 0.0000 2.5776
Nd 10.2712 -5.1465 0.0000
Dy 7.7162 5.1416 2.5776
Dy 7.7162 2.5772 0.0000
Dy 7.7162 0.0000 2.5776
Dy 7.7162 -2.5772 0.0000
Dy 7.7162 -5.1416 2.5776
```

Principal peaks in the range 2θ from 10° to 80°, most intense first:
two_theta	Rel. int.
30.1	1000
34.8	507
50.1	363
59.5	289
59.6	143
62.5	124
73.5	39
73.7	19

=====

[6]
For PmNd4Dy3, a DFT-relaxed cell (GGA-PBE, Alexandria) gives the theoretical powder diffractogram in this record (copper Kα).
Intensities are scaled so that the largest is 1000.

Crystal structure
```
16
Lattice="10.2627 0.0000 0.0000 0.0000 7.2464 0.0000 0.0000 0.0000 7.2426" Properties=species:S:1:pos:R:3 pbc="T T T"
Pm 0.0000 0.0000 0.0000
Pm 5.1314 0.0000 3.6213
Nd 0.0000 0.0000 3.6213
Nd 0.0000 3.6232 0.0000
Nd 2.5657 1.8208 1.8106
Nd 2.5657 5.4256 5.4319
Nd 5.1314 0.0000 0.0000
Nd 5.1314 3.6232 3.6213
Nd 7.6971 1.8208 1.8106
Nd 7.6971 5.4256 5.4319
Dy 0.0000 3.6232 3.6213
Dy 2.5657 1.8237 5.4319
Dy 2.5657 5.4228 1.8106
Dy 5.1314 3.6232 0.0000
Dy 7.6971 1.8237 5.4319
Dy 7.6971 5.4228 1.8106
```

Principal peaks in the range 2θ from 10° to 80°, most intense first:
two_theta	Rel. int.
30.2	1000
35.0	507
59.8	432
50.4	363
62.8	124
74.0	38
73.9	19

=====

[7]
For Pm3Nd8Dy3, a DFT-relaxed cell (GGA-PBE, Alexandria) gives the theoretical powder diffractogram in this record (copper Kα).
Intensities are scaled so that the largest is 1000.

Crystal structure
```
14
Lattice="-2.8770 5.4879 7.6706 2.8770 -5.4879 7.6706 2.8770 5.4879 -7.6706" Properties=species:S:1:pos:R:3 pbc="T T T"
Pm 0.0000 0.0000 0.0000
Pm 2.8770 0.0000 2.7584
Pm 0.0000 5.4879 4.9122
Nd 2.8770 3.7450 -3.4130
Nd 2.8770 -1.7802 6.0823
Nd 0.0000 1.7429 4.2576
Nd 0.0000 3.7076 1.5883
Nd 2.8770 1.7802 6.0823
Nd 2.8770 3.7450 3.4130
Nd 0.0000 7.2681 1.5883
Nd 0.0000 1.7429 11.0836
Dy 2.8770 2.1970 0.0000
Dy 0.0000 0.0000 7.6706
Dy 0.0000 3.2909 7.6706
```

Principal peaks in the range 2θ from 10° to 80°, most intense first:
two_theta	Rel. int.
31.2	1000
31.1	524
33.1	517
29.1	338
30.0	295
43.8	211
56.5	202
55.4	198
28.5	159
61.1	154
59.9	138
58.9	114

=====

[8]
For Pm4NdDy10, a DFT-relaxed cell (GGA-PBE, Alexandria) gives the theoretical powder diffractogram in this record (copper Kα).
Intensities are scaled so that the largest is 1000.

Crystal structure
```
15
Lattice="-4.9148 4.9148 5.4612 4.9148 -4.9148 5.4612 4.9148 4.9148 -5.4612" Properties=species:S:1:pos:R:3 pbc="T T T"
Pm 6.9998 0.5238 0.0000
Pm 0.5238 2.8298 0.0000
Pm 4.3910 2.0850 5.4612
Pm -2.0850 4.3910 5.4612
Nd 0.0000 0.0000 5.4612
Dy 3.7042 2.7651 -1.8391
Dy 2.1497 -1.2106 3.6221
Dy 4.9148 0.0000 2.7306
Dy 3.7042 2.7651 1.8391
Dy 2.7651 6.1254 -1.8391
Dy 2.1497 -1.2106 7.3003
Dy 1.2106 2.1497 3.6221
Dy 0.0000 4.9148 2.7306
Dy 2.7651 6.1254 1.8391
Dy 1.2106 2.1497 7.3003
```

Principal peaks in the range 2θ from 10° to 80°, most intense first:
two_theta	Rel. int.
31.9	1000
28.7	788
33.2	472
26.1	290
41.1	278
41.4	249
50.2	215
58.8	204
12.1	199
28.4	198
30.5	152
33.9	150

=====

[9]
For PmNd3Dy6, a DFT-relaxed cell (GGA-PBE, Alexandria) gives the theoretical powder diffractogram in this record (copper Kα).
Intensities are scaled so that the largest is 1000.

Crystal structure
```
20
Lattice="5.5075 -9.4968 0.0000 5.5075 9.4968 0.0000 0.0000 0.0000 6.3638" Properties=species:S:1:pos:R:3 pbc="T T T"
Pm 5.5075 5.7962 3.1819
Pm 5.5075 -5.7962 0.0000
Nd 1.9450 2.1554 2.1166
Nd 1.9450 -2.1554 5.2985
Nd 5.5075 2.1248 2.8069
Nd 5.5075 -2.1248 5.9888
Nd 9.0700 2.1554 2.1166
Nd 9.0700 -2.1554 5.2985
Dy 5.5075 8.7565 1.5310
Dy 2.8642 3.9807 4.7257
Dy 5.5075 4.3092 0.1221
Dy 3.6660 0.8584 5.8301
Dy 3.6660 -0.8584 2.6482
Dy 2.8642 -3.9807 1.5438
Dy 8.1508 3.9807 4.7257
Dy 7.3490 0.8584 5.8301
Dy 7.3490 -0.8584 2.6482
Dy 5.5075 -4.3092 3.3040
Dy 8.1508 -3.9807 1.5438
Dy 5.5075 -8.7565 4.7129
```

Principal peaks in the range 2θ from 10° to 80°, most intense first:
two_theta	Rel. int.
31.5	1000
28.5	676
33.9	646
32.5	289
49.9	232
28.1	214
29.6	191
55.6	118
59.1	111
58.9	101
65.9	98
60.0	94

=====

[10]
For Pm4Nd4Dy, a DFT-relaxed cell (GGA-PBE, Alexandria) gives the theoretical powder diffractogram in this record (copper Kα).
Intensities are scaled so that the largest is 1000.

Crystal structure
```
9
Lattice="-5.4785 5.4785 2.5816 5.4785 -5.4785 2.5816 5.4785 5.4785 -2.5816" Properties=species:S:1:pos:R:3 pbc="T T T"
Pm 3.6494 0.0000 0.0000
Pm 7.3077 0.0000 0.0000
Pm 0.0000 3.6494 0.0000
Pm 0.0000 7.3077 0.0000
Nd 3.6597 3.6597 0.0000
Nd 1.8188 -1.8188 2.5816
Nd -1.8188 1.8188 2.5816
Nd 1.8188 1.8188 2.5816
Dy 0.0000 0.0000 0.0000
```

Principal peaks in the range 2θ from 10° to 80°, most intense first:
two_theta	Rel. int.
30.0	1000
34.7	507
59.3	433
49.9	363
62.3	125
73.3	58

=====

[11]
For Pm2Nd6Dy3, a DFT-relaxed cell (GGA-PBE, Alexandria) gives the theoretical powder diffractogram in this record (copper Kα).
Intensities are scaled so that the largest is 1000.

Crystal structure
```
11
Lattice="6.3046 0.0000 0.0000 -2.0827 7.8408 0.0000 -1.0338 -2.8017 7.5757" Properties=species:S:1:pos:R:3 pbc="T T T"
Pm 0.5404 3.0833 0.3562
Pm 2.6476 1.9558 7.2195
Nd -1.5528 4.2037 3.1037
Nd 0.5286 -0.2867 1.7468
Nd -0.4911 3.6380 6.5478
Nd 3.6791 1.4012 1.0279
Nd 2.6595 5.3258 5.8289
Nd 4.7409 0.8354 4.4720
Dy 1.5933 -0.8318 5.1588
Dy 1.5940 2.5196 3.7878
Dy 1.5948 5.8710 2.4168
```

Principal peaks in the range 2θ from 10° to 80°, most intense first:
two_theta	Rel. int.
30.1	1000
34.8	339
50.2	241
35.0	168
59.5	145
59.6	144
59.7	143
50.1	122
62.5	62
62.6	62
73.4	19
73.6	19

=====

[12]
For Pm3Nd2Dy, a DFT-relaxed cell (GGA-PBE, Alexandria) gives the theoretical powder diffractogram in this record (copper Kα).
Intensities are scaled so that the largest is 1000.

Crystal structure
```
12
Lattice="6.7860 0.0000 0.0000 0.0000 17.9328 0.0000 0.0000 0.0000 3.4334" Properties=species:S:1:pos:R:3 pbc="T T T"
Pm 0.0000 0.0000 0.0000
Pm 1.6312 5.7583 0.0000
Pm 1.7618 14.7247 1.7167
Pm 3.3930 8.9664 1.7167
Pm 5.0241 3.2081 1.7167
Pm 5.1548 12.1745 0.0000
Nd 1.5947 2.6953 1.7167
Nd 1.7983 11.6617 0.0000
Nd 4.9876 6.2711 0.0000
Nd 5.1913 15.2374 1.7167
Dy 0.0000 8.9664 0.0000
Dy 3.3930 0.0000 1.7167
```

Principal peaks in the range 2θ from 10° to 80°, most intense first:
two_theta	Rel. int.
28.1	1000
29.9	827
30.0	759
40.3	733
33.1	696
30.8	435
63.0	351
35.5	341
26.4	334
29.1	241
61.4	221
37.6	215

=====

[13]
For Pm2Nd5Dy2, a DFT-relaxed cell (GGA-PBE, Alexandria) gives the theoretical powder diffractogram in this record (copper Kα).
Intensities are scaled so that the largest is 1000.

Crystal structure
```
9
Lattice="5.7709 -2.5779 0.0000 5.7709 2.5779 0.0000 -3.4853 0.0000 10.3534" Properties=species:S:1:pos:R:3 pbc="T T T"
Pm -0.5792 0.0000 1.7388
Pm 8.6356 0.0000 8.6146
Nd -1.7427 0.0000 5.1767
Nd 1.7151 0.0000 6.3264
Nd 0.5518 0.0000 9.7826
Nd 7.5045 0.0000 0.5708
Nd 6.3412 0.0000 4.0270
Dy 2.8755 0.0000 2.8706
Dy 5.1809 0.0000 7.4828
```

Principal peaks in the range 2θ from 10° to 80°, most intense first:
two_theta	Rel. int.
30.0	1000
34.8	337
59.4	289
50.1	242
34.8	170
59.6	143
62.4	125
50.0	122
73.4	19
73.5	19
73.7	19